Computed powder diffraction line list of CdCoPt6 for copper Kα, from the PBE geometry in Alexandria.
Neutral-atom scattering factors, no anomalous dispersion.

Cell and atoms:
Cell: 3.964 3.964 7.950 Å, 90.00 90.00 90.00°
Space group P4/mmm (No. 123)
Unique sites:
Cd 0.000 0.000 0.000 [1 per cell]
Co 0.000 0.000 0.500 [1 per cell]
Pt 0.000 0.500 0.264 [4 per cell]
Pt 0.500 0.500 0.000 [1 per cell]
Pt 0.500 0.500 0.500 [1 per cell]

Principal peaks in the range 5° ≤ 2θ ≤ 70°, by intensity:
2θ/deg, I (rel.)
39.3, 100
45.8, 33
66.6, 20
45.6, 16
66.7, 11
22.4, 7
31.9, 6
33.9, 3
56.9, 2
51.5, 2